Theoretical X-ray diffraction stick pattern of Li3Mn2Se4O12 for a wavelength of 1.5418 Å, from a PBE+U-relaxed structure.
Intensities are scaled so that the largest is 100.

Most intense lines, 10° ≤ 2θ ≤ 90°, most intense first:
hkl -1 1 2, 3.649 Å, I 100
hkl 0 2 0, 3.610 Å, I 73
hkl 2 2 0, 3.337 Å, I 63
hkl 1 -1 2, 2.914 Å, I 61
hkl 1 1 -2, 3.723 Å, I 40
hkl 3 1 -2, 2.294 Å, I 40
hkl 2 1 2, 3.137 Å, I 34
hkl 2 0 0, 3.498 Å, I 32

Atomic structure:
```
Li3Mn2Se4O12
1.0
7.767 0.000 0.000
3.533 7.530 0.000
0.295 2.980 10.047
Li Mn Se O
6 4 8 24
Cartesian
0.717 2.008 3.136
2.082 0.614 0.861
2.957 1.965 5.848
8.638 8.545 4.199
9.514 9.896 9.185
10.878 8.502 6.910
1.767 3.765 0.000
1.914 5.255 5.023
3.224 6.654 2.217
8.372 3.857 7.830
4.980 8.366 9.454
4.785 6.855 5.156
3.597 3.260 2.710
3.626 4.175 8.013
7.969 6.335 2.033
7.998 7.250 7.337
6.811 3.655 4.890
6.615 2.144 0.592
3.848 9.381 8.647
3.107 6.616 5.703
2.104 2.946 1.812
2.284 4.575 9.117
3.259 4.808 3.535
4.562 7.579 3.619
2.566 3.737 6.654
3.991 6.969 9.840
5.076 8.164 6.196
4.867 6.158 0.931
3.414 2.149 3.953
4.101 2.654 8.545
7.494 7.857 1.501
8.182 8.362 6.094
6.729 4.352 9.116
6.519 2.346 3.851
7.604 3.542 0.207
9.029 6.773 3.392
7.033 2.931 6.428
8.336 5.703 6.512
9.312 5.935 0.930
9.491 7.564 8.235
8.489 3.894 4.344
7.747 1.129 1.400
```